Th4TlPt: computed powder diffraction line list (copper Kα), based on a structure optimized by DFT (PBE).

The 12 most intense peaks (2θ from 10° to 80°), in order of rising 2θ:
| 2theta | d [Å] | Rel. int. |
| --- | --- | --- |
| 30.2 | 2.958 | 100 |
| 33.2 | 2.699 | 10 |
| 34.5 | 2.597 | 31 |
| 37.2 | 2.414 | 44 |
| 38.5 | 2.340 | 30 |
| 51.7 | 1.767 | 12 |
| 53.6 | 1.709 | 28 |
| 57.4 | 1.604 | 16 |
| 60.2 | 1.538 | 22 |
| 68.0 | 1.379 | 11 |
| 69.6 | 1.350 | 8 |
| 75.3 | 1.262 | 12 |

Structure:
```
data_Th4TlPt
_chemical_formula_sum 'Th8 Tl2 Pt2'
_space_group_name_H-M_alt 'P 4/m c c'
_space_group_IT_number 124
_space_group_name_Hall '-P 4 2c'
_cell_length_a 7.6344
_cell_length_b 7.6344
_cell_length_c 5.9238
_cell_angle_alpha 90.00
_cell_angle_beta 90.00
_cell_angle_gamma 90.00
loop_
_atom_site_label
_atom_site_fract_x
_atom_site_fract_y
_atom_site_fract_z
Th1 0.1453 0.3307 0.0000
Tl1 0.5000 0.5000 0.2500
Pt1 0.0000 0.0000 0.2500
```



Zr2N2O: computed powder diffraction line list (copper Kα), based on a structure optimized by DFT (PBE).

The 12 most intense peaks (2θ from 10° to 80°), in order of rising 2θ:
| 2theta | d [Å] | Rel. int. |
| --- | --- | --- |
| 30.1 | 2.964 | 91 |
| 30.3 | 2.953 | 100 |
| 31.1 | 2.874 | 95 |
| 32.8 | 2.727 | 45 |
| 33.4 | 2.681 | 77 |
| 34.6 | 2.590 | 96 |
| 42.9 | 2.108 | 27 |
| 44.8 | 2.021 | 44 |
| 50.2 | 1.818 | 54 |
| 55.2 | 1.665 | 32 |
| 56.0 | 1.641 | 36 |
| 57.9 | 1.594 | 34 |

Structure:
```
data_Zr2N2O
_chemical_formula_sum 'Zr24 N24 O12'
_space_group_name_H-M_alt 'C 1 m 1'
_space_group_IT_number 8
_cell_length_a 13.7864
_cell_length_b 3.3293
_cell_length_c 16.6243
_cell_angle_alpha 90.00
_cell_angle_beta 100.23
_cell_angle_gamma 90.00
loop_
_space_group_symop_operation_xyz
'x,y,z'
'x,-y,z'
'x+1/2,y+1/2,z'
'x+1/2,-y+1/2,z'
loop_
_atom_site_label
_atom_site_fract_x
_atom_site_fract_y
_atom_site_fract_z
Zr1 0.0000 0.0000 0.0000
Zr2 0.0015 0.0000 0.5034
Zr3 0.0617 0.0000 0.3076
Zr4 0.0698 0.0000 0.8090
Zr5 0.1607 0.5000 0.1413
Zr6 0.1673 0.5000 0.6435
Zr7 0.2226 0.5000 0.4673
Zr8 0.2289 0.5000 0.9718
Zr9 0.3349 0.0000 0.8359
Zr10 0.3379 0.0000 0.3399
Zr11 0.3962 0.0000 0.6660
Zr12 0.4013 0.0000 0.1675
N1 0.0651 0.5000 0.2313
N2 0.1572 0.0000 0.0474
N3 0.1578 0.0000 0.5411
N4 0.2036 0.0000 0.3829
N5 0.2040 0.0000 0.8902
N6 0.2310 0.0000 0.7179
N7 0.3598 0.5000 0.4228
N8 0.3600 0.5000 0.9188
N9 0.4042 0.5000 0.2598
N10 0.4103 0.5000 0.7582
N11 0.4956 0.0000 0.0742
N12 0.4976 0.0000 0.5804
O1 0.0310 0.5000 0.4037
O2 0.0350 0.5000 0.8984
O3 0.0638 0.5000 0.7340
O4 0.2422 0.0000 0.2117
O5 0.3170 0.5000 0.5950
O6 0.3224 0.5000 0.0933
```



Nb2Al2Ni3: computed powder diffraction line list (copper Kα), based on a structure optimized by DFT (PBE).

The 12 most intense peaks (2θ from 10° to 80°), in order of rising 2θ:
| 2theta | d [Å] | Rel. int. |
| --- | --- | --- |
| 25.8 | 3.449 | 49 |
| 26.8 | 3.323 | 10 |
| 39.0 | 2.309 | 37 |
| 42.4 | 2.133 | 100 |
| 44.9 | 2.017 | 89 |
| 52.6 | 1.741 | 7 |
| 61.0 | 1.519 | 9 |
| 63.5 | 1.465 | 29 |
| 64.9 | 1.436 | 4 |
| 71.6 | 1.318 | 5 |
| 75.7 | 1.256 | 14 |
| 78.9 | 1.213 | 8 |

Structure:
```
data_Nb2Al2Ni3
_chemical_formula_sum 'Nb6 Al6 Ni9'
_space_group_name_H-M_alt 'R -3 m'
_space_group_IT_number 166
_space_group_name_Hall '-R 3 2"'
_cell_length_a 4.0340
_cell_length_b 4.0340
_cell_length_c 21.5388
_cell_angle_alpha 90.00
_cell_angle_beta 90.00
_cell_angle_gamma 120.00
loop_
_atom_site_label
_atom_site_fract_x
_atom_site_fract_y
_atom_site_fract_z
Nb1 0.0000 0.0000 0.1286
Al1 0.0000 0.0000 0.3763
Ni1 0.0000 0.0000 0.0000
Ni2 0.0000 0.0000 0.2580
```



La4Er3ScS8: computed powder diffraction line list (copper Kα), based on a structure optimized by DFT (PBE).

The 12 most intense peaks (2θ from 10° to 80°), in order of rising 2θ:
| 2theta | d [Å] | Rel. int. |
| --- | --- | --- |
| 26.7 | 3.345 | 20 |
| 27.6 | 3.229 | 52 |
| 31.7 | 2.821 | 100 |
| 44.9 | 2.021 | 36 |
| 46.1 | 1.969 | 35 |
| 52.9 | 1.730 | 10 |
| 54.0 | 1.697 | 18 |
| 54.6 | 1.681 | 8 |
| 57.0 | 1.615 | 18 |
| 66.3 | 1.410 | 11 |
| 74.4 | 1.275 | 15 |
| 76.3 | 1.249 | 15 |

Structure:
```
data_La4Er3ScS8
_chemical_formula_sum 'La12 Er9 Sc3 S24'
_space_group_name_H-M_alt 'R -3 m'
_space_group_IT_number 166
_space_group_name_Hall '-R 3 2"'
_cell_length_a 7.8765
_cell_length_b 7.8765
_cell_length_c 20.0690
_cell_angle_alpha 90.00
_cell_angle_beta 90.00
_cell_angle_gamma 120.00
loop_
_atom_site_label
_atom_site_fract_x
_atom_site_fract_y
_atom_site_fract_z
La1 0.0000 0.0000 0.0000
La2 0.0000 0.5000 0.0000
Er1 0.0000 0.5000 0.5000
Sc1 0.0000 0.0000 0.5000
S1 0.0000 0.0000 0.2416
S2 0.0059 0.5030 0.2404
```



NaPm2PO6: computed powder diffraction line list (copper Kα), based on a structure optimized by DFT (PBE).

The 12 most intense peaks (2θ from 10° to 80°), in order of rising 2θ:
| 2theta | d [Å] | Rel. int. |
| --- | --- | --- |
| 19.1 | 4.640 | 44 |
| 23.8 | 3.732 | 34 |
| 30.7 | 2.908 | 100 |
| 34.0 | 2.639 | 37 |
| 38.8 | 2.320 | 10 |
| 39.3 | 2.294 | 39 |
| 46.1 | 1.970 | 24 |
| 48.8 | 1.866 | 23 |
| 52.5 | 1.742 | 25 |
| 52.9 | 1.731 | 12 |
| 58.8 | 1.570 | 31 |
| 69.4 | 1.355 | 13 |

Structure:
```
data_NaPm2PO6
_chemical_formula_sum 'Na1 Pm2 P1 O6'
_space_group_name_H-M_alt 'P 4 m m'
_space_group_IT_number 99
_cell_length_a 5.2774
_cell_length_b 5.2774
_cell_length_c 4.6396
_cell_angle_alpha 90.00
_cell_angle_beta 90.00
_cell_angle_gamma 90.00
loop_
_space_group_symop_operation_xyz
'x,y,z'
'-y,x,z'
'-x,-y,z'
'y,-x,z'
'-x,y,z'
'y,x,z'
'x,-y,z'
'-y,-x,z'
loop_
_atom_site_label
_atom_site_fract_x
_atom_site_fract_y
_atom_site_fract_z
Na1 0.0000 0.0000 0.0000
Pm1 0.0000 0.5000 0.4373
P1 0.5000 0.5000 0.0330
O1 0.0000 0.0000 0.5310
O2 0.2846 0.2846 0.1294
O3 0.5000 0.5000 0.6876
```